Structure and computed powder diffraction line list of HoTmCoGe2 (DFT lattice parameters and positions (GGA-PBE); Cu Kα X-rays).
Intensities are scaled so that the largest is 100.

Atomic structure:
abc: 5.5690 5.5690 10.0980
angles: 115.37 115.37 44.01
Sites, in units of the cell vectors:
1 Ho 0.1876 0.1876 0.1145
2 Ho 0.8124 0.8124 0.8855
3 Tm 0.0059 0.0059 0.3334
4 Tm 0.9941 0.9941 0.6666
5 Co 0.2755 0.2755 0.6502
6 Co 0.7245 0.7245 0.3498
7 Ge 0.3453 0.3453 0.4377
8 Ge 0.4845 0.4845 0.1239
9 Ge 0.5155 0.5155 0.8761
10 Ge 0.6547 0.6547 0.5623

Peak list (6 most intense, 2θ = 10–80°, sorted by position)
- 2θ 33.75, intensity 47
- 2θ 33.93, intensity 69
- 2θ 34.46, intensity 100
- 2θ 37.69, intensity 42
- 2θ 41.48, intensity 51
- 2θ 43.36, intensity 53